1.
This entry pairs a crystal structure of KTbMo2O8 with its theoretical powder XRD pattern. Radiation: Cu Kα (weighted mean of Kα1 and Kα2). Structure: a GGA+U-relaxed structure.

Principal peaks in the range 2θ from 10° to 90°, low angle first:
2θ (°), d (Å), intensity
22.49, 3.953, 47
28.30, 3.153, 100
29.21, 3.058, 39
29.75, 3.003, 52
34.78, 2.579, 12
44.40, 2.040, 14
46.04, 1.971, 37
51.36, 1.779, 19
53.01, 1.727, 18
54.36, 1.688, 17

Atomic structure:
a = 5.1583 Å, b = 18.4675 Å, c = 8.1619 Å
α = 90.00°, β = 90.00°, γ = 90.00°
Fractional coordinates of all 48 atoms:
K (0.0000, 0.2301, 0.2500)
K (0.0000, 0.7699, 0.7500)
K (0.5000, 0.2699, 0.7500)
K (0.5000, 0.7301, 0.2500)
Tb (0.0000, 0.0060, 0.7500)
Tb (0.0000, 0.9940, 0.2500)
Tb (0.5000, 0.4940, 0.2500)
Tb (0.5000, 0.5060, 0.7500)
Mo (0.0231, 0.3991, 0.5164)
Mo (0.0231, 0.6009, 0.0164)
Mo (0.4769, 0.1009, 0.0164)
Mo (0.4769, 0.8991, 0.5164)
Mo (0.5231, 0.1009, 0.4836)
Mo (0.5231, 0.8991, 0.9836)
Mo (0.9769, 0.3991, 0.9836)
Mo (0.9769, 0.6009, 0.4836)
O (0.1023, 0.3108, 0.9745)
O (0.1023, 0.6892, 0.4745)
O (0.2297, 0.4009, 0.3390)
O (0.2297, 0.5991, 0.8390)
O (0.2452, 0.4074, 0.6887)
O (0.2452, 0.5926, 0.1887)
O (0.2497, 0.0351, 0.5041)
O (0.2503, 0.4649, 0.0041)
O (0.2503, 0.5351, 0.5041)
O (0.2497, 0.9649, 0.0041)
O (0.2548, 0.0926, 0.1887)
O (0.2548, 0.9074, 0.6887)
O (0.2703, 0.0991, 0.8390)
O (0.2703, 0.9009, 0.3390)
O (0.3977, 0.1892, 0.4745)
O (0.3977, 0.8108, 0.9745)
O (0.6023, 0.1892, 0.0255)
O (0.6023, 0.8108, 0.5255)
O (0.7297, 0.0991, 0.6610)
O (0.7297, 0.9009, 0.1610)
O (0.7452, 0.0926, 0.3113)
O (0.7452, 0.9074, 0.8113)
O (0.7503, 0.0351, 0.9959)
O (0.7497, 0.4649, 0.4959)
O (0.7497, 0.5351, 0.9959)
O (0.7503, 0.9649, 0.4959)
O (0.7548, 0.4074, 0.8113)
O (0.7548, 0.5926, 0.3113)
O (0.7703, 0.4009, 0.1610)
O (0.7703, 0.5991, 0.6610)
O (0.8977, 0.3108, 0.5255)
O (0.8977, 0.6892, 0.0255)



2.
This entry pairs a crystal structure of K4ThMo4O16 with its theoretical powder XRD pattern. Radiation: Cu Kα (weighted mean of Kα1 and Kα2). Structure: a GGA+U-relaxed structure.

Principal peaks in the range 2θ from 10° to 90°, low angle first:
2θ (°), d (Å), intensity
18.04, 4.917, 26
23.53, 3.782, 24
26.20, 3.401, 17
26.77, 3.330, 23
27.34, 3.262, 100
28.00, 3.186, 18
33.91, 2.643, 26
43.72, 2.071, 33
47.63, 1.909, 18
56.73, 1.623, 15

Atomic structure:
a = 10.6936 Å, b = 10.6936 Å, c = 10.6936 Å
α = 112.83°, β = 112.83°, γ = 102.95°
Fractional coordinates of all 50 atoms:
K (0.0465, 0.6553, 0.9151)
K (0.1553, 0.7402, 0.6088)
K (0.2402, 0.1314, 0.5849)
K (0.3686, 0.4535, 0.1088)
K (0.6314, 0.5465, 0.8912)
K (0.7598, 0.8686, 0.4151)
K (0.8447, 0.2598, 0.3912)
K (0.9535, 0.3447, 0.0849)
Th (0.3750, 0.1250, 0.2500)
Th (0.6250, 0.8750, 0.7500)
Mo (0.0440, 0.0260, 0.8380)
Mo (0.2940, 0.4560, 0.4821)
Mo (0.3120, 0.7940, 0.3380)
Mo (0.4740, 0.8120, 0.0179)
Mo (0.5260, 0.1880, 0.9821)
Mo (0.6880, 0.2060, 0.6620)
Mo (0.7060, 0.5440, 0.5179)
Mo (0.9560, 0.9740, 0.1620)
O (0.0880, 0.2200, 0.9368)
O (0.0958, 0.3979, 0.3872)
O (0.1021, 0.9892, 0.6979)
O (0.1401, 0.9772, 0.9835)
O (0.1616, 0.0862, 0.2830)
O (0.2087, 0.5958, 0.1979)
O (0.2168, 0.8488, 0.4368)
O (0.2800, 0.7168, 0.8680)
O (0.3032, 0.8786, 0.2170)
O (0.3434, 0.3599, 0.3371)
O (0.3488, 0.4120, 0.6320)
O (0.3786, 0.6616, 0.5754)
O (0.4138, 0.1968, 0.0754)
O (0.4772, 0.9937, 0.8371)
O (0.4892, 0.2913, 0.8872)
O (0.4937, 0.1566, 0.5165)
O (0.5063, 0.8434, 0.4835)
O (0.5108, 0.7087, 0.1128)
O (0.5228, 0.0063, 0.1629)
O (0.5862, 0.8032, 0.9246)
O (0.6214, 0.3384, 0.4246)
O (0.6512, 0.5880, 0.3680)
O (0.6566, 0.6401, 0.6629)
O (0.6968, 0.1214, 0.7830)
O (0.7200, 0.2832, 0.1320)
O (0.7832, 0.1512, 0.5632)
O (0.7913, 0.4042, 0.8021)
O (0.8384, 0.9138, 0.7170)
O (0.8599, 0.0228, 0.0165)
O (0.8979, 0.0108, 0.3021)
O (0.9042, 0.6021, 0.6128)
O (0.9120, 0.7800, 0.0632)



3.
This entry pairs a crystal structure of K2ThMo3O12 with its theoretical powder XRD pattern. Radiation: Cu Kα (weighted mean of Kα1 and Kα2). Structure: a GGA+U-relaxed structure.

Principal peaks in the range 2θ from 10° to 90°, low angle first:
2θ (°), d (Å), intensity
19.49, 4.555, 68
20.82, 4.266, 87
25.34, 3.515, 95
25.50, 3.493, 100
27.05, 3.297, 87
27.39, 3.257, 52
29.40, 3.038, 99
32.93, 2.720, 53
42.05, 2.149, 48
44.36, 2.042, 48

Atomic structure:
a = 11.1404 Å, b = 11.1404 Å, c = 5.5400 Å
α = 100.32°, β = 100.32°, γ = 66.03°
Fractional coordinates of all 36 atoms:
K (0.0688, 0.3016, 0.4889)
K (0.3016, 0.0688, 0.9889)
K (0.6984, 0.9312, 0.0111)
K (0.9312, 0.6984, 0.5111)
Th (0.3685, 0.6315, 0.7500)
Th (0.6315, 0.3685, 0.2500)
Mo (0.0972, 0.9028, 0.7500)
Mo (0.2463, 0.4580, 0.1268)
Mo (0.4580, 0.2463, 0.6268)
Mo (0.5420, 0.7537, 0.3732)
Mo (0.7537, 0.5420, 0.8732)
Mo (0.9028, 0.0972, 0.2500)
O (0.0450, 0.0930, 0.1363)
O (0.0930, 0.0450, 0.6363)
O (0.0983, 0.5006, 0.2492)
O (0.1615, 0.7488, 0.5369)
O (0.2169, 0.5810, 0.9245)
O (0.2512, 0.8385, 0.9631)
O (0.2741, 0.3104, 0.9168)
O (0.3104, 0.2741, 0.4168)
O (0.3853, 0.4794, 0.3679)
O (0.4190, 0.7831, 0.5755)
O (0.4794, 0.3853, 0.8679)
O (0.4994, 0.9017, 0.2508)
O (0.5006, 0.0983, 0.7492)
O (0.5206, 0.6147, 0.1321)
O (0.5810, 0.2169, 0.4245)
O (0.6147, 0.5206, 0.6321)
O (0.6896, 0.7259, 0.5832)
O (0.7259, 0.6896, 0.0832)
O (0.7488, 0.1615, 0.0369)
O (0.7831, 0.4190, 0.0755)
O (0.8385, 0.2512, 0.4631)
O (0.9017, 0.4994, 0.7508)
O (0.9070, 0.9550, 0.3637)
O (0.9550, 0.9070, 0.8637)



4.
This entry pairs a crystal structure of K2ThMo3O12 with its theoretical powder XRD pattern. Radiation: Cu Kα (weighted mean of Kα1 and Kα2). Structure: a GGA+U-relaxed structure.

Principal peaks in the range 2θ from 10° to 90°, low angle first:
2θ (°), d (Å), intensity
10.11, 8.750, 61
22.48, 3.955, 15
26.18, 3.404, 100
27.03, 3.298, 92
28.90, 3.090, 26
30.66, 2.916, 29
32.80, 2.730, 19
42.63, 2.121, 24
44.27, 2.046, 25
55.59, 1.653, 15

Atomic structure:
a = 10.9649 Å, b = 10.9649 Å, c = 5.4656 Å
α = 102.33°, β = 102.33°, γ = 68.61°
Fractional coordinates of all 36 atoms:
K (0.0439, 0.2903, 0.4122)
K (0.2903, 0.0439, 0.9122)
K (0.7097, 0.9561, 0.0878)
K (0.9561, 0.7097, 0.5878)
Th (0.3720, 0.6280, 0.7500)
Th (0.6280, 0.3720, 0.2500)
Mo (0.1440, 0.8560, 0.2500)
Mo (0.2364, 0.4572, 0.1105)
Mo (0.4572, 0.2364, 0.6105)
Mo (0.5428, 0.7636, 0.3895)
Mo (0.7636, 0.5428, 0.8895)
Mo (0.8560, 0.1440, 0.7500)
O (0.0119, 0.1359, 0.9271)
O (0.0951, 0.5001, 0.2529)
O (0.1359, 0.0119, 0.4271)
O (0.1883, 0.7317, 0.4656)
O (0.2086, 0.5765, 0.8971)
O (0.2541, 0.3044, 0.9123)
O (0.2683, 0.8117, 0.0344)
O (0.3044, 0.2541, 0.4123)
O (0.3870, 0.4695, 0.3555)
O (0.4235, 0.7914, 0.6029)
O (0.4695, 0.3870, 0.8555)
O (0.5001, 0.0951, 0.7529)
O (0.4999, 0.9049, 0.2471)
O (0.5305, 0.6130, 0.1445)
O (0.5765, 0.2086, 0.3971)
O (0.6130, 0.5305, 0.6445)
O (0.6956, 0.7459, 0.5877)
O (0.7317, 0.1883, 0.9656)
O (0.7459, 0.6956, 0.0877)
O (0.7914, 0.4235, 0.1029)
O (0.8117, 0.2683, 0.5344)
O (0.8641, 0.9881, 0.5729)
O (0.9049, 0.4999, 0.7471)
O (0.9881, 0.8641, 0.0729)